# CaSm2Pu
Simulated XRD peak list, Cu Kα. Input: a DFT-relaxed cell (GGA-PBE, Alexandria).
No peak broadening, texture or thermal motion is included.

abc: 5.893 5.893 3.829
angles: 90.00 90.00 90.00
Space group P4/mmm (No. 123)
Inequivalent atoms, fractional coordinates:
Ca: 0.000 0.000 0.000 (multiplicity 1)
Sm: 0.000 0.500 0.500 (multiplicity 2)
Pu: 0.500 0.500 0.000 (multiplicity 1)

Largest 6 diffraction maxima, in order of rising 2θ, 2θ = 10–80°:
15.0 deg, I = 30.8, (1 0 0); 30.3 deg, I = 56.3, (2 0 0); 31.7 deg, I = 100.0, (1 1 1); 43.4 deg, I = 21.2, (2 2 0); 54.8 deg, I = 43.0, (3 1 1); 57.4 deg, I = 18.7, (2 0 2)